Simulated XRD peak list of Pm2FeNi3Ge4 for Cu Kα, 1.54184 Å, from a DFT-relaxed cell (PBE, Alexandria).
Lines closer than 0.1° are merged.

Cell and atoms:
```
data_Pm2FeNi3Ge4
_chemical_formula_sum 'Pm2 Fe1 Ni3 Ge4'
_space_group_name_H-M_alt 'P -4 m 2'
_space_group_IT_number 115
_cell_length_a 4.1350
_cell_length_b 4.1350
_cell_length_c 9.8122
_cell_angle_alpha 90.00
_cell_angle_beta 90.00
_cell_angle_gamma 90.00
loop_
_space_group_symop_operation_xyz
'x,y,z'
'y,-x,-z'
'-x,-y,z'
'-y,x,-z'
'-x,y,z'
'-y,-x,-z'
'x,-y,z'
'y,x,-z'
loop_
_atom_site_label
_atom_site_fract_x
_atom_site_fract_y
_atom_site_fract_z
_atom_site_occupancy
Pm1 0.0000 0.5000 0.2478 1
Fe1 0.0000 0.0000 0.5000 1
Ni1 0.0000 0.5000 0.8749 1
Ni2 0.5000 0.5000 0.5000 1
Ge1 0.0000 0.0000 0.0000 1
Ge2 0.0000 0.5000 0.6297 1
Ge3 0.5000 0.5000 0.0000 1
```

Largest 10 diffraction maxima, low angle first, 2θ from 5° to 70°:
index, Position (°2θ), I (rel.)
1 1 0, 30.58, 20.4
1 0 3, 34.98, 74.0
1 1 2, 35.75, 100.0
2 0 0, 43.79, 60.8
1 1 4, 48.44, 8.2
1 0 5, 51.55, 26.7
2 1 3, 57.23, 35.1
2 2 0, 63.65, 19.3
1 1 6, 65.38, 14.5
2 1 5, 69.89, 21.0

---

Simulated XRD peak list of SmDy8Tm3 for Cu Kα, 1.54184 Å, from a DFT-relaxed cell (PBE, Alexandria).
Lines closer than 0.1° are merged.

Cell and atoms:
```
data_SmDy8Tm3
_chemical_formula_sum 'Sm2 Dy16 Tm6'
_space_group_name_H-M_alt 'I m m 2'
_space_group_IT_number 44
_cell_length_a 10.8334
_cell_length_b 11.2327
_cell_length_c 6.2553
_cell_angle_alpha 90.00
_cell_angle_beta 90.00
_cell_angle_gamma 90.00
loop_
_space_group_symop_operation_xyz
'x,y,z'
'-x,-y,z'
'-x,y,z'
'x,-y,z'
'x+1/2,y+1/2,z+1/2'
'-x+1/2,-y+1/2,z+1/2'
'-x+1/2,y+1/2,z+1/2'
'x+1/2,-y+1/2,z+1/2'
loop_
_atom_site_label
_atom_site_fract_x
_atom_site_fract_y
_atom_site_fract_z
_atom_site_occupancy
Sm1 0.0000 0.0000 0.0000 1
Dy1 0.1653 0.5000 0.5013 1
Dy2 0.1672 0.0000 0.5001 1
Dy3 0.1666 0.2515 0.1682 1
Tm1 0.0000 0.2511 0.6683 1
Tm2 0.0000 0.5000 0.9994 1
```

Largest 10 diffraction maxima, low angle first, 2θ from 5° to 70°:
index, Position (°2θ), I (rel.)
3 0 1, 28.54, 23.9
0 4 0, 31.87, 23.9
0 2 2, 32.78, 100.0
3 4 1, 43.30, 15.5
6 0 0, 50.55, 19.9
0 6 2, 57.36, 20.4
0 0 4, 59.08, 3.1
6 4 0, 61.01, 22.6
6 2 2, 61.56, 16.5
0 4 4, 68.70, 4.0

---

Simulated XRD peak list of BaLi2Tl7 for Cu Kα, 1.54184 Å, from a DFT-relaxed cell (PBE, Alexandria).
Lines closer than 0.1° are merged.

Cell and atoms:
```
data_BaLi2Tl7
_chemical_formula_sum 'Ba2 Li4 Tl14'
_space_group_name_H-M_alt 'C m m m'
_space_group_IT_number 65
_space_group_name_Hall '-C 2 2'
_cell_length_a 9.5009
_cell_length_b 12.7210
_cell_length_c 5.3215
_cell_angle_alpha 90.00
_cell_angle_beta 90.00
_cell_angle_gamma 90.00
loop_
_atom_site_label
_atom_site_fract_x
_atom_site_fract_y
_atom_site_fract_z
_atom_site_occupancy
Ba1 0.0000 0.0000 0.0000 1
Li1 0.0000 0.2732 0.5000 1
Tl1 0.0000 0.3355 0.0000 1
Tl2 0.0000 0.5000 0.5000 1
Tl3 0.2143 0.1283 0.5000 1
```

Largest 10 diffraction maxima, low angle first, 2θ from 5° to 70°:
index, Position (°2θ), I (rel.)
0 0 1, 16.66, 27.4
2 0 1, 25.13, 100.0
1 3 1, 28.51, 99.7
3 1 0, 29.06, 24.5
0 0 2, 33.68, 71.6
2 4 0, 33.92, 30.3
4 0 0, 37.88, 24.6
2 4 1, 38.02, 65.0
4 0 2, 51.58, 25.8
5 3 1, 55.76, 34.1

---

Simulated XRD peak list of Pm7Au2N2 for Cu Kα, 1.54184 Å, from a DFT-relaxed cell (PBE, Alexandria).
Lines closer than 0.1° are merged.

Cell and atoms:
```
data_Pm7Au2N2
_chemical_formula_sum 'Pm14 Au4 N4'
_space_group_name_H-M_alt 'C 1 2/m 1'
_space_group_IT_number 12
_cell_length_a 11.4525
_cell_length_b 7.4444
_cell_length_c 6.4361
_cell_angle_alpha 90.00
_cell_angle_beta 93.04
_cell_angle_gamma 90.00
loop_
_space_group_symop_operation_xyz
'x,y,z'
'-x,-y,-z'
'-x,y,-z'
'x,-y,z'
'x+1/2,y+1/2,z'
'-x+1/2,-y+1/2,-z'
'-x+1/2,y+1/2,-z'
'x+1/2,-y+1/2,z'
loop_
_atom_site_label
_atom_site_fract_x
_atom_site_fract_y
_atom_site_fract_z
_atom_site_occupancy
Pm1 0.0000 0.0000 0.0000 1
Pm2 0.0677 0.5000 0.7783 1
Pm3 0.2161 0.2719 0.2372 1
Au1 0.0000 0.1855 0.5000 1
N1 0.2279 0.0000 0.0295 1
```

Largest 10 diffraction maxima, low angle first, 2θ from 5° to 70°:
index, Position (°2θ), I (rel.)
0 2 1, 27.71, 43.6
2 2 0, 28.62, 50.3
1 1 -2, 30.93, 50.1
4 0 0, 31.24, 98.5
1 1 2, 31.69, 35.6
2 2 1, 32.26, 100.0
2 0 2, 32.68, 46.5
4 0 -1, 33.63, 46.2
1 3 -1, 39.57, 51.0
2 2 -2, 39.70, 79.3